# 1
Theoretical powder diffraction line list
Compound: NaSn2Hg3
Radiation: Cu Kα
Structure: the GGA-PBE geometry in Alexandria
Neutral-atom scattering factors, no anomalous dispersion.

Principal peaks in the range 2θ = 10–80°, by angle:
d 4.589, 2θ 19.34, I 26
d 3.332, 2θ 26.75, I 26
d 2.702, 2θ 33.15, I 100
d 2.691, 2θ 33.30, I 99
d 2.525, 2θ 35.56, I 42
d 2.294, 2θ 39.27, I 31
d 2.218, 2θ 40.69, I 33
d 1.666, 2θ 55.12, I 24

Cell and atoms:
a = 7.1153 Å, b = 7.1153 Å, c = 9.1779 Å
α = 90.14°, β = 90.14°, γ = 138.43°
Element x y z (fractional)
Na (0.1620, 0.8380, 0.0000)
Na (0.8380, 0.1620, 0.0000)
Sn (0.1673, 0.8327, 0.5000)
Sn (0.5000, 0.5000, 0.0000)
Sn (0.5000, 0.5000, 0.5000)
Sn (0.8327, 0.1673, 0.5000)
Hg (0.0024, 0.0024, 0.2451)
Hg (0.3288, 0.6666, 0.7603)
Hg (0.3334, 0.6712, 0.2397)
Hg (0.6666, 0.3288, 0.7603)
Hg (0.6712, 0.3334, 0.2397)
Hg (0.9976, 0.9976, 0.7549)

# 2
Theoretical powder diffraction line list
Compound: NaSnHg
Radiation: Cu Kα
Structure: the GGA-PBE geometry in Alexandria
Neutral-atom scattering factors, no anomalous dispersion.

Principal peaks in the range 2θ = 10–80°, by angle:
d 5.058, 2θ 17.53, I 100
d 4.965, 2θ 17.86, I 39
d 3.014, 2θ 29.64, I 53
d 2.712, 2θ 33.03, I 93
d 2.669, 2θ 33.58, I 74
d 2.529, 2θ 35.50, I 35
d 2.482, 2θ 36.19, I 78
d 1.969, 2θ 46.09, I 31

Cell and atoms:
a = 6.0632 Å, b = 6.0632 Å, c = 6.0632 Å
α = 117.59°, β = 115.46°, γ = 96.15°
Element x y z (fractional)
Na (0.1223, 0.3723, 0.7500)
Na (0.3777, 0.1277, 0.2500)
Sn (0.2500, 0.8036, 0.5536)
Sn (0.7500, 0.6964, 0.9464)
Hg (0.6626, 0.7500, 0.4126)
Hg (0.8374, 0.2500, 0.0874)

# 3
Theoretical powder diffraction line list
Compound: NaSrSnHg
Radiation: Cu Kα
Structure: the GGA-PBE geometry in Alexandria
Neutral-atom scattering factors, no anomalous dispersion.

Principal peaks in the range 2θ = 10–80°, by angle:
d 5.716, 2θ 15.50, I 18
d 3.952, 2θ 22.50, I 23
d 3.811, 2θ 23.34, I 12
d 2.858, 2θ 31.30, I 13
d 2.742, 2θ 32.66, I 100
d 2.533, 2θ 35.43, I 17
d 1.581, 2θ 58.37, I 15
d 1.564, 2θ 59.08, I 11

Cell and atoms:
a = 3.8112 Å, b = 5.4709 Å, c = 5.7164 Å
α = 90.00°, β = 90.00°, γ = 90.00°
Element x y z (fractional)
Na (0.0000, 0.0000, 0.0000)
Sr (0.0000, 0.5000, 0.4272)
Sn (0.5000, 0.5000, 0.9182)
Hg (0.5000, 0.0000, 0.5465)

# 4
Theoretical powder diffraction line list
Compound: Na4Tl2SnHg2
Radiation: Cu Kα
Structure: the GGA-PBE geometry in Alexandria
Neutral-atom scattering factors, no anomalous dispersion.

Principal peaks in the range 2θ = 10–80°, by angle:
d 5.787, 2θ 15.31, I 35
d 3.967, 2θ 22.41, I 70
d 3.796, 2θ 23.43, I 33
d 2.817, 2θ 31.77, I 52
d 2.676, 2θ 33.49, I 55
d 2.653, 2θ 33.79, I 53
d 2.633, 2θ 34.05, I 53
d 2.614, 2θ 34.31, I 100

Cell and atoms:
a = 5.2670 Å, b = 6.0547 Å, c = 8.3427 Å
α = 106.23°, β = 107.79°, γ = 90.10°
Element x y z (fractional)
Na (0.1175, 0.0868, 0.2315)
Na (0.3511, 0.2177, 0.7051)
Na (0.6489, 0.7823, 0.2949)
Na (0.8825, 0.9132, 0.7685)
Tl (0.2356, 0.6553, 0.4733)
Tl (0.7644, 0.3447, 0.5267)
Sn (0.0000, 0.5000, 0.0000)
Hg (0.4450, 0.7399, 0.8952)
Hg (0.5550, 0.2601, 0.1048)

# 5
Theoretical powder diffraction line list
Compound: Na2YSnHg
Radiation: Cu Kα
Structure: the GGA-PBE geometry in Alexandria
Neutral-atom scattering factors, no anomalous dispersion.

Principal peaks in the range 2θ = 10–80°, by angle:
d 4.109, 2θ 21.63, I 81
d 4.046, 2θ 21.97, I 100
d 3.337, 2θ 26.71, I 46
d 2.952, 2θ 30.27, I 37
d 2.861, 2θ 31.27, I 68
d 2.385, 2θ 37.72, I 51
d 2.348, 2θ 38.34, I 40
d 2.054, 2θ 44.08, I 53

Cell and atoms:
a = 5.7213 Å, b = 5.7213 Å, c = 5.9047 Å
α = 90.00°, β = 90.00°, γ = 90.00°
Element x y z (fractional)
Na (0.0000, 0.5000, 0.0000)
Na (0.5000, 0.0000, 0.0000)
Y (0.0000, 0.0000, 0.5000)
Sn (0.0000, 0.0000, 0.0000)
Hg (0.5000, 0.5000, 0.5000)

# 6
Theoretical powder diffraction line list
Compound: Na5Sr6Hg
Radiation: Cu Kα
Structure: the GGA-PBE geometry in Alexandria
Neutral-atom scattering factors, no anomalous dispersion.

Principal peaks in the range 2θ = 10–80°, by angle:
d 8.170, 2θ 10.83, I 37
d 3.139, 2θ 28.43, I 100
d 3.086, 2θ 28.93, I 26
d 3.012, 2θ 29.66, I 22
d 2.156, 2θ 41.91, I 17
d 1.792, 2θ 50.96, I 19
d 1.762, 2θ 51.88, I 15
d 1.569, 2θ 58.84, I 13

Cell and atoms:
a = 10.5893 Å, b = 10.5893 Å, c = 10.5893 Å
α = 146.11°, β = 128.75°, γ = 62.87°
Element x y z (fractional)
Na (0.0000, 0.0000, 0.0000)
Na (0.1618, 0.6618, 0.5000)
Na (0.3147, 0.3147, 0.0000)
Na (0.6853, 0.6853, 0.0000)
Na (0.8382, 0.3382, 0.5000)
Sr (0.1162, 0.8453, 0.2709)
Sr (0.2861, 0.5000, 0.7861)
Sr (0.4256, 0.1547, 0.2709)
Sr (0.5744, 0.8453, 0.7291)
Sr (0.7139, 0.5000, 0.2139)
Sr (0.8838, 0.1547, 0.7291)
Hg (0.5000, 0.0000, 0.5000)

# 7
Theoretical powder diffraction line list
Compound: Na2SrHg5
Radiation: Cu Kα
Structure: the GGA-PBE geometry in Alexandria
Neutral-atom scattering factors, no anomalous dispersion.

Principal peaks in the range 2θ = 10–80°, by angle:
d 4.535, 2θ 19.58, I 13
d 3.458, 2θ 25.77, I 15
d 2.750, 2θ 32.57, I 100
d 2.445, 2θ 36.76, I 37
d 2.267, 2θ 39.75, I 14
d 1.729, 2θ 52.96, I 13
d 1.662, 2θ 55.25, I 21
d 1.464, 2θ 63.57, I 30

Cell and atoms:
a = 9.7061 Å, b = 9.7061 Å, c = 9.7061 Å
α = 150.82°, β = 150.82°, γ = 41.74°
Element x y z (fractional)
Na (0.2494, 0.2494, 0.0000)
Na (0.7506, 0.7506, 0.0000)
Sr (0.5000, 0.5000, 0.0000)
Hg (0.0000, 0.0000, 0.0000)
Hg (0.1325, 0.6325, 0.5000)
Hg (0.3675, 0.8675, 0.5000)
Hg (0.6325, 0.1325, 0.5000)
Hg (0.8675, 0.3675, 0.5000)

# 8
Theoretical powder diffraction line list
Compound: Na2Sr7Hg2
Radiation: Cu Kα
Structure: the GGA-PBE geometry in Alexandria
Neutral-atom scattering factors, no anomalous dispersion.

Principal peaks in the range 2θ = 10–80°, by angle:
d 5.575, 2θ 15.90, I 25
d 3.678, 2θ 24.20, I 37
d 3.465, 2θ 25.71, I 26
d 3.186, 2θ 28.01, I 100
d 3.097, 2θ 28.83, I 40
d 2.876, 2θ 31.09, I 23
d 2.759, 2θ 32.45, I 33
d 2.232, 2θ 40.41, I 29

Cell and atoms:
a = 11.4647 Å, b = 11.4647 Å, c = 11.4647 Å
α = 157.15°, β = 63.34°, γ = 121.81°
Element x y z (fractional)
Na (0.0000, 0.0000, 0.0000)
Na (0.6483, 0.1483, 0.5000)
Sr (0.2586, 0.6117, 0.6470)
Sr (0.2939, 0.9786, 0.3153)
Sr (0.3555, 0.3555, 0.0000)
Sr (0.6365, 0.7785, 0.8580)
Sr (0.6634, 0.9786, 0.6847)
Sr (0.9204, 0.7785, 0.1420)
Sr (0.9647, 0.6117, 0.3530)
Hg (0.0357, 0.2701, 0.7656)
Hg (0.5046, 0.2701, 0.2344)

# 9
Theoretical powder diffraction line list
Compound: Na2SrHg7
Radiation: Cu Kα
Structure: the GGA-PBE geometry in Alexandria
Neutral-atom scattering factors, no anomalous dispersion.

Principal peaks in the range 2θ = 10–80°, by angle:
d 6.008, 2θ 14.75, I 19
d 3.594, 2θ 24.77, I 20
d 2.987, 2θ 29.91, I 74
d 2.589, 2θ 34.64, I 100
d 2.496, 2θ 35.98, I 33
d 1.957, 2θ 46.41, I 23
d 1.561, 2θ 59.19, I 22
d 1.495, 2θ 62.10, I 23

Cell and atoms:
a = 5.1788 Å, b = 5.1788 Å, c = 12.0154 Å
α = 90.00°, β = 90.00°, γ = 120.00°
Element x y z (fractional)
Na (0.0000, 0.0000, 0.0000)
Na (0.3333, 0.6667, 0.8416)
Sr (0.6667, 0.3333, 0.3724)
Hg (0.0000, 0.0000, 0.2467)
Hg (0.0000, 0.0000, 0.5032)
Hg (0.0000, 0.0000, 0.7524)
Hg (0.3333, 0.6667, 0.1612)
Hg (0.3333, 0.6667, 0.5334)
Hg (0.6667, 0.3333, 0.0429)
Hg (0.6667, 0.3333, 0.6761)

# 10
Theoretical powder diffraction line list
Compound: Na8SrHg4
Radiation: Cu Kα
Structure: the GGA-PBE geometry in Alexandria
Neutral-atom scattering factors, no anomalous dispersion.

Principal peaks in the range 2θ = 10–80°, by angle:
d 4.551, 2θ 19.51, I 84
d 4.059, 2θ 21.90, I 45
d 3.860, 2θ 23.04, I 52
d 3.079, 2θ 29.00, I 49
d 2.825, 2θ 31.68, I 100
d 2.798, 2θ 31.98, I 36
d 2.647, 2θ 33.86, I 50
d 2.551, 2θ 35.17, I 61

Cell and atoms:
a = 3.9335 Å, b = 5.1054 Å, c = 20.0755 Å
α = 90.00°, β = 90.00°, γ = 90.00°
Element x y z (fractional)
Na (0.0000, 0.0000, 0.0000)
Na (0.0000, 0.0000, 0.2472)
Na (0.0000, 0.5000, 0.1295)
Na (0.0000, 0.5000, 0.3958)
Na (0.5000, 0.0000, 0.3876)
Na (0.5000, 0.0000, 0.6450)
Na (0.5000, 0.5000, 0.5420)
Na (0.5000, 0.5000, 0.9572)
Sr (0.5000, 0.0000, 0.8155)
Hg (0.0000, 0.0000, 0.5116)
Hg (0.0000, 0.5000, 0.7442)
Hg (0.5000, 0.0000, 0.1225)
Hg (0.5000, 0.5000, 0.2658)

# 11
Theoretical powder diffraction line list
Compound: Na6SrHg2
Radiation: Cu Kα
Structure: the GGA-PBE geometry in Alexandria
Neutral-atom scattering factors, no anomalous dispersion.

Principal peaks in the range 2θ = 10–80°, by angle:
d 4.763, 2θ 18.63, I 88
d 4.473, 2θ 19.85, I 71
d 3.368, 2θ 26.46, I 78
d 3.260, 2θ 27.35, I 99
d 3.208, 2θ 27.81, I 66
d 2.687, 2θ 33.35, I 100
d 2.382, 2θ 37.77, I 65
d 2.341, 2θ 38.45, I 66

Cell and atoms:
a = 4.7631 Å, b = 4.7631 Å, c = 13.0170 Å
α = 90.00°, β = 90.00°, γ = 90.00°
Element x y z (fractional)
Na (0.0000, 0.0000, 0.0000)
Na (0.0000, 0.5000, 0.2273)
Na (0.0000, 0.5000, 0.7727)
Na (0.5000, 0.0000, 0.2273)
Na (0.5000, 0.0000, 0.7727)
Na (0.5000, 0.5000, 0.0000)
Sr (0.0000, 0.0000, 0.5000)
Hg (0.5000, 0.5000, 0.3865)
Hg (0.5000, 0.5000, 0.6135)

# 12
Theoretical powder diffraction line list
Compound: Na2SrHg4
Radiation: Cu Kα
Structure: the GGA-PBE geometry in Alexandria
Neutral-atom scattering factors, no anomalous dispersion.

Principal peaks in the range 2θ = 10–80°, by angle:
d 4.530, 2θ 19.60, I 73
d 4.251, 2θ 20.90, I 77
d 3.174, 2θ 28.11, I 57
d 2.806, 2θ 31.89, I 100
d 2.750, 2θ 32.56, I 71
d 2.508, 2θ 35.80, I 85
d 2.483, 2θ 36.17, I 63
d 2.229, 2θ 40.46, I 55

Cell and atoms:
a = 10.4538 Å, b = 10.4538 Å, c = 6.4391 Å
α = 98.51°, β = 98.51°, γ = 34.81°
Element x y z (fractional)
Na (0.1137, 0.2806, 0.1574)
Na (0.2806, 0.1137, 0.6574)
Na (0.7194, 0.8863, 0.3426)
Na (0.8863, 0.7194, 0.8426)
Sr (0.2636, 0.7364, 0.7500)
Sr (0.7364, 0.2636, 0.2500)
Hg (0.1344, 0.7114, 0.2026)
Hg (0.2495, 0.4184, 0.4954)
Hg (0.2886, 0.8656, 0.2974)
Hg (0.4184, 0.2495, 0.9954)
Hg (0.5816, 0.7505, 0.0046)
Hg (0.7114, 0.1344, 0.7026)
Hg (0.7505, 0.5816, 0.5046)
Hg (0.8656, 0.2886, 0.7974)

Please write out number 2 again, unchanged.
Theoretical powder diffraction line list
Compound: NaSnHg
Radiation: Cu Kα
Structure: the GGA-PBE geometry in Alexandria
Neutral-atom scattering factors, no anomalous dispersion.

Principal peaks in the range 2θ = 10–80°, by angle:
d 5.058, 2θ 17.53, I 100
d 4.965, 2θ 17.86, I 39
d 3.014, 2θ 29.64, I 53
d 2.712, 2θ 33.03, I 93
d 2.669, 2θ 33.58, I 74
d 2.529, 2θ 35.50, I 35
d 2.482, 2θ 36.19, I 78
d 1.969, 2θ 46.09, I 31

Cell and atoms:
a = 6.0632 Å, b = 6.0632 Å, c = 6.0632 Å
α = 117.59°, β = 115.46°, γ = 96.15°
Element x y z (fractional)
Na (0.1223, 0.3723, 0.7500)
Na (0.3777, 0.1277, 0.2500)
Sn (0.2500, 0.8036, 0.5536)
Sn (0.7500, 0.6964, 0.9464)
Hg (0.6626, 0.7500, 0.4126)
Hg (0.8374, 0.2500, 0.0874)

Repeat the second record exactly.
Theoretical powder diffraction line list
Compound: NaSnHg
Radiation: Cu Kα
Structure: the GGA-PBE geometry in Alexandria
Neutral-atom scattering factors, no anomalous dispersion.

Principal peaks in the range 2θ = 10–80°, by angle:
d 5.058, 2θ 17.53, I 100
d 4.965, 2θ 17.86, I 39
d 3.014, 2θ 29.64, I 53
d 2.712, 2θ 33.03, I 93
d 2.669, 2θ 33.58, I 74
d 2.529, 2θ 35.50, I 35
d 2.482, 2θ 36.19, I 78
d 1.969, 2θ 46.09, I 31

Cell and atoms:
a = 6.0632 Å, b = 6.0632 Å, c = 6.0632 Å
α = 117.59°, β = 115.46°, γ = 96.15°
Element x y z (fractional)
Na (0.1223, 0.3723, 0.7500)
Na (0.3777, 0.1277, 0.2500)
Sn (0.2500, 0.8036, 0.5536)
Sn (0.7500, 0.6964, 0.9464)
Hg (0.6626, 0.7500, 0.4126)
Hg (0.8374, 0.2500, 0.0874)